The following is a theoretical XRD peak list of Pr4CrS7. It was derived from a structure optimized by DFT (GGA-PBE), using CuKα.
No peak broadening, texture or thermal motion is included.

Cell and atoms:
a = 10.2348 Å, b = 6.4962 Å, c = 10.2472 Å
α = 90.00°, β = 119.93°, γ = 90.00°
Fractional coordinates of all 24 atoms:
1 Pr 0.0000 0.0000 0.0000
2 Pr 0.0000 0.5000 0.0000
3 Pr 0.1456 0.2033 0.7477
4 Pr 0.2513 0.2034 0.3974
5 Pr 0.3977 0.7027 0.1457
6 Pr 0.6023 0.2027 0.8543
7 Pr 0.7487 0.7034 0.6026
8 Pr 0.8544 0.7033 0.2523
9 Cr 0.3342 0.6234 0.6682
10 Cr 0.6658 0.1234 0.3318
11 S 0.0998 0.7554 0.8422
12 S 0.1022 0.4654 0.5160
13 S 0.1574 0.7557 0.2568
14 S 0.2577 0.2555 0.1000
15 S 0.3330 0.9889 0.6661
16 S 0.4155 0.4634 0.8998
17 S 0.4833 0.4651 0.5863
18 S 0.5167 0.9651 0.4137
19 S 0.5845 0.9634 0.1002
20 S 0.6670 0.4889 0.3339
21 S 0.7423 0.7555 0.9000
22 S 0.8426 0.2557 0.7432
23 S 0.8978 0.9654 0.4840
24 S 0.9002 0.2554 0.1578

Top 10 peaks for 2θ = 10–80°, by angle:
2theta	I/Imax	index
16.92	49	1 1 0
22.10	39	1 1 1
24.30	83	2 1 0
26.58	100	3 0 -2
32.64	52	1 2 -2
33.29	56	3 1 -3
34.21	73	0 2 2
35.04	39	2 0 2
38.59	51	1 2 -3
46.93	38	4 0 -5